Entry 1:
Diffraction record for PmHo2Th3S6. The powder diffraction line list is computed, not measured: it uses a crystal structure in Alexandria, relaxed with PBE and Cu Kα, 1.54184 Å.

Structural model:
```
data_PmHo2Th3S6
_chemical_formula_sum 'Pm2 Ho4 Th6 S12'
_symmetry_space_group_name_H-M 'C 1 2/m 1'
_symmetry_Int_Tables_number 12
_cell_length_a 6.831
_cell_length_b 11.746
_cell_length_c 7.076
_cell_angle_alpha 90.00
_cell_angle_beta 108.48
_cell_angle_gamma 90.00
loop_
_symmetry_equiv_pos_as_xyz
'x,y,z'
'-x,-y,-z'
'-x,y,-z'
'x,-y,z'
'x+1/2,y+1/2,z'
'-x+1/2,-y+1/2,-z'
'-x+1/2,y+1/2,-z'
'x+1/2,-y+1/2,z'
loop_
_atom_site_label
_atom_site_type_symbol
_atom_site_fract_x
_atom_site_fract_y
_atom_site_fract_z
Pm1 Pm 0.000 0.000 0.000
Ho1 Ho 0.000 0.333 0.000
Th1 Th 0.000 0.163 0.500
Th2 Th 0.000 0.500 0.500
S1 S 0.236 0.500 0.233
S2 S 0.250 0.171 0.238
```

The 6 most intense peaks (2θ from 10° to 90°), most intense first:
| 2θ (°) | intensity | hkl |
| --- | --- | --- |
| 31.7 | 100 | 2 0 -2 |
| 27.7 | 46 | 1 3 -1 |
| 26.6 | 27 | 0 0 2 |
| 44.9 | 25 | 1 3 -3 |
| 46.1 | 24 | 3 3 -1 |
| 27.5 | 23 | 2 0 0 |

Entry 2:
Diffraction record for Na5B7C3. The powder diffraction line list is computed, not measured: it uses a crystal structure in Alexandria, relaxed with PBE and Cu Kα, 1.54184 Å.

Structural model:
```
data_Na5B7C3
_chemical_formula_sum 'Na20 B28 C12'
_symmetry_space_group_name_H-M 'C 1 2/m 1'
_symmetry_Int_Tables_number 12
_cell_length_a 22.942
_cell_length_b 2.850
_cell_length_c 9.949
_cell_angle_alpha 90.00
_cell_angle_beta 107.10
_cell_angle_gamma 90.00
loop_
_symmetry_equiv_pos_as_xyz
'x,y,z'
'-x,-y,-z'
'-x,y,-z'
'x,-y,z'
'x+1/2,y+1/2,z'
'-x+1/2,-y+1/2,-z'
'-x+1/2,y+1/2,-z'
'x+1/2,-y+1/2,z'
loop_
_atom_site_label
_atom_site_type_symbol
_atom_site_fract_x
_atom_site_fract_y
_atom_site_fract_z
Na1 Na 0.000 0.000 0.000
Na2 Na 0.000 0.500 0.500
Na3 Na 0.100 0.000 0.701
Na4 Na 0.100 0.500 0.201
Na5 Na 0.200 0.000 0.401
Na6 Na 0.200 0.500 0.903
B1 B 0.014 0.000 0.278
B2 B 0.080 0.500 0.910
B3 B 0.083 0.000 0.416
B4 B 0.119 0.000 0.989
B5 B 0.123 0.500 0.496
B6 B 0.189 0.000 0.128
B7 B 0.217 0.000 0.683
C1 C 0.017 0.500 0.785
C2 C 0.186 0.500 0.620
C3 C 0.220 0.500 0.189
```

The 6 most intense peaks (2θ from 10° to 90°), most intense first:
| 2θ (°) | intensity | hkl |
| --- | --- | --- |
| 42.0 | 100 | 7 1 -1 |
| 41.2 | 50 | 10 0 0 |
| 42.4 | 37 | 8 0 -4 |
| 63.6 | 18 | 9 1 3 |
| 36.1 | 17 | 3 1 1 |
| 79.4 | 17 | 1 1 7 |

Entry 3:
Diffraction record for SmPuH4. The powder diffraction line list is computed, not measured: it uses a crystal structure in Alexandria, relaxed with PBE and Cu Kα, 1.54184 Å.

Structural model:
```
data_SmPuH4
_chemical_formula_sum 'Sm1 Pu1 H4'
_symmetry_space_group_name_H-M 'P 4/m m m'
_symmetry_Int_Tables_number 123
_symmetry_space_group_name_Hall '-P 4 2'
_cell_length_a 3.773
_cell_length_b 3.773
_cell_length_c 5.326
_cell_angle_alpha 90.00
_cell_angle_beta 90.00
_cell_angle_gamma 90.00
loop_
_atom_site_label
_atom_site_type_symbol
_atom_site_fract_x
_atom_site_fract_y
_atom_site_fract_z
Sm1 Sm 0.000 0.000 0.000
Pu1 Pu 0.500 0.500 0.500
H1 H 0.000 0.500 0.253
```

The 6 most intense peaks (2θ from 10° to 90°), most intense first:
| 2θ (°) | intensity | hkl |
| --- | --- | --- |
| 29.0 | 100 | 1 0 1 |
| 33.6 | 50 | 1 1 0 |
| 57.3 | 46 | 2 1 1 |
| 48.3 | 39 | 2 0 0 |
| 78.1 | 19 | 3 0 1 |
| 60.1 | 13 | 2 0 2 |

Entry 4:
Diffraction record for ZrCrAgS4. The powder diffraction line list is computed, not measured: it uses a crystal structure in Alexandria, relaxed with PBE and Cu Kα, 1.54184 Å.

Structural model:
```
data_ZrCrAgS4
_chemical_formula_sum 'Zr4 Cr4 Ag4 S16'
_symmetry_space_group_name_H-M 'P m m n'
_symmetry_Int_Tables_number 59
_cell_length_a 7.201
_cell_length_b 13.206
_cell_length_c 6.146
_cell_angle_alpha 90.00
_cell_angle_beta 90.00
_cell_angle_gamma 90.00
loop_
_symmetry_equiv_pos_as_xyz
'x,y,z'
'-x,-y,-z'
'-x+1/2,-y+1/2,z'
'x+1/2,y+1/2,-z'
'x+1/2,-y,-z'
'-x+1/2,y,z'
'-x,y+1/2,-z'
'x,-y+1/2,z'
loop_
_atom_site_label
_atom_site_type_symbol
_atom_site_fract_x
_atom_site_fract_y
_atom_site_fract_z
Zr1 Zr 0.000 0.000 0.000
Cr1 Cr 0.250 0.002 0.498
Ag1 Ag 0.250 0.250 0.834
Ag2 Ag 0.250 0.750 0.507
S1 S 0.004 0.106 0.649
S2 S 0.250 0.110 0.178
S3 S 0.250 0.609 0.820
```

The 6 most intense peaks (2θ from 10° to 90°), most intense first:
| 2θ (°) | intensity | hkl |
| --- | --- | --- |
| 39.8 | 100 | 2 4 1 |
| 20.1 | 75 | 1 1 1 |
| 51.3 | 60 | 2 0 3 |
| 28.2 | 55 | 2 2 0 |
| 35.4 | 55 | 2 3 1 |
| 40.1 | 47 | 0 4 2 |

Entry 5:
Diffraction record for ZrBeRu. The powder diffraction line list is computed, not measured: it uses a crystal structure in Alexandria, relaxed with PBE and Cu Kα, 1.54184 Å.

Structural model:
```
data_ZrBeRu
_chemical_formula_sum 'Zr4 Be4 Ru4'
_symmetry_space_group_name_H-M 'I m a 2'
_symmetry_Int_Tables_number 46
_cell_length_a 4.908
_cell_length_b 6.790
_cell_length_c 5.328
_cell_angle_alpha 90.00
_cell_angle_beta 90.00
_cell_angle_gamma 90.00
loop_
_symmetry_equiv_pos_as_xyz
'x,y,z'
'-x,-y,z'
'-x+1/2,y,z'
'x+1/2,-y,z'
'x+1/2,y+1/2,z+1/2'
'-x+1/2,-y+1/2,z+1/2'
'-x,y+1/2,z+1/2'
'x,-y+1/2,z+1/2'
loop_
_atom_site_label
_atom_site_type_symbol
_atom_site_fract_x
_atom_site_fract_y
_atom_site_fract_z
Zr1 Zr 0.250 0.125 0.000
Be1 Be 0.000 0.000 0.499
Ru1 Ru 0.250 0.748 0.746
```

The 6 most intense peaks (2θ from 10° to 90°), most intense first:
| 2θ (°) | intensity | hkl |
| --- | --- | --- |
| 40.8 | 100 | 1 1 2 |
| 36.6 | 43 | 2 0 0 |
| 36.3 | 42 | 1 2 1 |
| 44.1 | 40 | 1 3 0 |
| 21.2 | 34 | 0 1 1 |
| 26.3 | 27 | 0 2 0 |

Entry 6:
Diffraction record for Zn3Ag8Hg2. The powder diffraction line list is computed, not measured: it uses a crystal structure in Alexandria, relaxed with PBE and Cu Kα, 1.54184 Å.

Structural model:
```
data_Zn3Ag8Hg2
_chemical_formula_sum 'Zn3 Ag8 Hg2'
_symmetry_space_group_name_H-M 'P 1 2/m 1'
_symmetry_Int_Tables_number 10
_cell_length_a 9.472
_cell_length_b 2.951
_cell_length_c 9.661
_cell_angle_alpha 90.00
_cell_angle_beta 117.56
_cell_angle_gamma 90.00
loop_
_symmetry_equiv_pos_as_xyz
'x,y,z'
'-x,-y,-z'
'-x,y,-z'
'x,-y,z'
loop_
_atom_site_label
_atom_site_type_symbol
_atom_site_fract_x
_atom_site_fract_y
_atom_site_fract_z
Zn1 Zn 0.000 0.000 0.000
Zn2 Zn 0.069 0.500 0.777
Ag1 Ag 0.165 0.500 0.552
Ag2 Ag 0.202 0.000 0.308
Ag3 Ag 0.288 0.500 0.088
Ag4 Ag 0.348 0.000 0.862
Hg1 Hg 0.469 0.000 0.637
```

The 6 most intense peaks (2θ from 10° to 90°), most intense first:
| 2θ (°) | intensity | hkl |
| --- | --- | --- |
| 38.2 | 100 | 3 0 1 |
| 38.3 | 96 | 1 0 -4 |
| 39.8 | 69 | 4 0 -3 |
| 32.1 | 56 | 1 1 0 |
| 42.4 | 49 | 3 1 -2 |
| 41.5 | 42 | 2 1 1 |

Entry 7:
Diffraction record for GePd4S. The powder diffraction line list is computed, not measured: it uses a crystal structure in Alexandria, relaxed with PBE and Cu Kα, 1.54184 Å.

Structural model:
```
data_GePd4S
_chemical_formula_sum 'Ge4 Pd16 S4'
_symmetry_space_group_name_H-M 'C 1 2/m 1'
_symmetry_Int_Tables_number 12
_cell_length_a 15.846
_cell_length_b 3.715
_cell_length_c 7.704
_cell_angle_alpha 90.00
_cell_angle_beta 113.00
_cell_angle_gamma 90.00
loop_
_symmetry_equiv_pos_as_xyz
'x,y,z'
'-x,-y,-z'
'-x,y,-z'
'x,-y,z'
'x+1/2,y+1/2,z'
'-x+1/2,-y+1/2,-z'
'-x+1/2,y+1/2,-z'
'x+1/2,-y+1/2,z'
loop_
_atom_site_label
_atom_site_type_symbol
_atom_site_fract_x
_atom_site_fract_y
_atom_site_fract_z
Ge1 Ge 0.246 0.000 0.154
Pd1 Pd 0.096 0.500 0.597
Pd2 Pd 0.107 0.000 0.261
Pd3 Pd 0.134 0.500 0.985
Pd4 Pd 0.245 0.000 0.629
S1 S 0.017 0.500 0.264
```

The 6 most intense peaks (2θ from 10° to 90°), most intense first:
| 2θ (°) | intensity | hkl |
| --- | --- | --- |
| 44.3 | 100 | 3 1 2 |
| 39.7 | 92 | 5 1 -2 |
| 29.9 | 88 | 3 1 -1 |
| 37.3 | 71 | 1 1 2 |
| 12.1 | 59 | 2 0 0 |
| 49.0 | 53 | 0 2 0 |

Entry 8:
Diffraction record for ScRe. The powder diffraction line list is computed, not measured: it uses a crystal structure in Alexandria, relaxed with PBE and Cu Kα, 1.54184 Å.

Structural model:
```
data_ScRe
_chemical_formula_sum 'Sc1 Re1'
_symmetry_space_group_name_H-M 'P 4/m m m'
_symmetry_Int_Tables_number 123
_symmetry_space_group_name_Hall '-P 4 2'
_cell_length_a 2.757
_cell_length_b 2.757
_cell_length_c 4.567
_cell_angle_alpha 90.00
_cell_angle_beta 90.00
_cell_angle_gamma 90.00
loop_
_atom_site_label
_atom_site_type_symbol
_atom_site_fract_x
_atom_site_fract_y
_atom_site_fract_z
Sc1 Sc 0.000 0.000 0.000
Re1 Re 0.500 0.500 0.500
```

The 6 most intense peaks (2θ from 10° to 90°), most intense first:
| 2θ (°) | intensity | hkl |
| --- | --- | --- |
| 38.1 | 100 | 1 0 1 |
| 19.4 | 48 | 0 0 1 |
| 32.5 | 28 | 1 0 0 |
| 46.6 | 28 | 1 1 0 |
| 62.7 | 23 | 1 1 2 |
| 39.5 | 23 | 0 0 2 |

What did the seventh record say?
Diffraction record for GePd4S. The powder diffraction line list is computed, not measured: it uses a crystal structure in Alexandria, relaxed with PBE and Cu Kα, 1.54184 Å.

Structural model:
```
data_GePd4S
_chemical_formula_sum 'Ge4 Pd16 S4'
_symmetry_space_group_name_H-M 'C 1 2/m 1'
_symmetry_Int_Tables_number 12
_cell_length_a 15.846
_cell_length_b 3.715
_cell_length_c 7.704
_cell_angle_alpha 90.00
_cell_angle_beta 113.00
_cell_angle_gamma 90.00
loop_
_symmetry_equiv_pos_as_xyz
'x,y,z'
'-x,-y,-z'
'-x,y,-z'
'x,-y,z'
'x+1/2,y+1/2,z'
'-x+1/2,-y+1/2,-z'
'-x+1/2,y+1/2,-z'
'x+1/2,-y+1/2,z'
loop_
_atom_site_label
_atom_site_type_symbol
_atom_site_fract_x
_atom_site_fract_y
_atom_site_fract_z
Ge1 Ge 0.246 0.000 0.154
Pd1 Pd 0.096 0.500 0.597
Pd2 Pd 0.107 0.000 0.261
Pd3 Pd 0.134 0.500 0.985
Pd4 Pd 0.245 0.000 0.629
S1 S 0.017 0.500 0.264
```

The 6 most intense peaks (2θ from 10° to 90°), most intense first:
| 2θ (°) | intensity | hkl |
| --- | --- | --- |
| 44.3 | 100 | 3 1 2 |
| 39.7 | 92 | 5 1 -2 |
| 29.9 | 88 | 3 1 -1 |
| 37.3 | 71 | 1 1 2 |
| 12.1 | 59 | 2 0 0 |
| 49.0 | 53 | 0 2 0 |

Please write out number 4 again, unchanged.
Diffraction record for ZrCrAgS4. The powder diffraction line list is computed, not measured: it uses a crystal structure in Alexandria, relaxed with PBE and Cu Kα, 1.54184 Å.

Structural model:
```
data_ZrCrAgS4
_chemical_formula_sum 'Zr4 Cr4 Ag4 S16'
_symmetry_space_group_name_H-M 'P m m n'
_symmetry_Int_Tables_number 59
_cell_length_a 7.201
_cell_length_b 13.206
_cell_length_c 6.146
_cell_angle_alpha 90.00
_cell_angle_beta 90.00
_cell_angle_gamma 90.00
loop_
_symmetry_equiv_pos_as_xyz
'x,y,z'
'-x,-y,-z'
'-x+1/2,-y+1/2,z'
'x+1/2,y+1/2,-z'
'x+1/2,-y,-z'
'-x+1/2,y,z'
'-x,y+1/2,-z'
'x,-y+1/2,z'
loop_
_atom_site_label
_atom_site_type_symbol
_atom_site_fract_x
_atom_site_fract_y
_atom_site_fract_z
Zr1 Zr 0.000 0.000 0.000
Cr1 Cr 0.250 0.002 0.498
Ag1 Ag 0.250 0.250 0.834
Ag2 Ag 0.250 0.750 0.507
S1 S 0.004 0.106 0.649
S2 S 0.250 0.110 0.178
S3 S 0.250 0.609 0.820
```

The 6 most intense peaks (2θ from 10° to 90°), most intense first:
| 2θ (°) | intensity | hkl |
| --- | --- | --- |
| 39.8 | 100 | 2 4 1 |
| 20.1 | 75 | 1 1 1 |
| 51.3 | 60 | 2 0 3 |
| 28.2 | 55 | 2 2 0 |
| 35.4 | 55 | 2 3 1 |
| 40.1 | 47 | 0 4 2 |